# 1
Diffraction record for CaHo12Ni6. The XRD peak list is theoretical, not measured: it uses a GGA-PBE-relaxed structure and Cu Kα (weighted mean of Kα1 and Kα2).
Intensities are scaled so that the largest is 100.

Main lines, low angle first (2θ from 10° to 90°):
28.68 deg, 3.113 Å, I 54.7; 31.49 deg, 2.841 Å, I 30.3; 34.08 deg, 2.631 Å, I 100.0; 47.08 deg, 1.930 Å, I 23.5; 54.35 deg, 1.688 Å, I 35.6; 56.06 deg, 1.640 Å, I 16.3; 57.74 deg, 1.597 Å, I 33.4; 67.26 deg, 1.392 Å, I 14.6; 83.30 deg, 1.160 Å, I 17.1; 84.72 deg, 1.144 Å, I 17.6

Cell and atoms:
```
CaHo12Ni6
1.0
-4.9213 4.9213 4.9213
4.9213 -4.9213 4.9213
4.9213 4.9213 -4.9213
Ca Ho Ni
1 12 6
Cartesian
0.0000 0.0000 0.0000
4.9213 3.0834 -1.8329
3.0884 0.0000 1.8380
6.7542 0.0000 1.8380
1.8380 3.0884 0.0000
3.0834 -1.8329 4.9213
4.9213 3.0834 1.8329
0.0000 1.8380 3.0884
1.8380 6.7542 0.0000
3.0834 1.8329 4.9213
-1.8329 4.9213 3.0834
1.8329 4.9213 3.0834
0.0000 1.8380 6.7542
4.9213 1.2063 0.0000
4.9213 0.0000 3.7150
3.7150 4.9213 0.0000
1.2063 0.0000 4.9213
0.0000 4.9213 1.2063
0.0000 3.7150 4.9213
```

***

# 2
Diffraction record for CaHoOsO6. The XRD peak list is theoretical, not measured: it uses a GGA-PBE-relaxed structure and Cu Kα (weighted mean of Kα1 and Kα2).
Intensities are scaled so that the largest is 100.

Main lines, low angle first (2θ from 10° to 90°):
18.34 deg, 4.838 Å, I 84.7; 18.58 deg, 4.776 Å, I 46.6; 26.22 deg, 3.399 Å, I 100.0; 32.47 deg, 2.758 Å, I 71.4; 37.54 deg, 2.396 Å, I 77.6; 42.20 deg, 2.141 Å, I 26.7; 50.17 deg, 1.819 Å, I 65.0; 54.23 deg, 1.691 Å, I 25.9; 57.92 deg, 1.592 Å, I 23.5; 61.30 deg, 1.512 Å, I 20.2

Cell and atoms:
```
CaHoOsO6
1.0
5.5152 0.0000 0.0000
-2.7576 4.7763 0.0000
0.0000 0.0000 9.6763
Ca Ho Os O
2 2 2 12
Cartesian
0.0000 0.0000 0.0000
0.0000 0.0000 4.8382
0.0000 3.1842 2.4191
2.7576 1.5921 7.2572
0.0000 3.1842 7.2572
2.7576 1.5921 2.4191
-0.8029 1.8239 6.1818
-1.5795 3.1690 8.3327
0.8029 1.8239 8.3327
-0.7766 4.5597 6.1818
1.9810 0.2166 1.3436
1.1781 1.6073 3.4945
1.5795 3.1690 6.1818
0.7766 4.5597 8.3327
3.5342 0.2166 3.4945
1.9547 2.9524 1.3436
4.3371 1.6073 1.3436
3.5605 2.9524 3.4945
```